(1)
For PmBS2, a structure optimized by DFT (PBE) gives the theoretical X-ray diffraction stick pattern in this record (Cu Kα (weighted mean of Kα1 and Kα2)).
Peak positions follow from Bragg's law for the DFT cell and can differ from measured ones.

Atomic structure:
```
PmBS2
1.0
1.6429 0.9485 7.8653
-1.6429 0.9485 7.8653
0.0000 -1.8971 7.8653
Pm B S
1 1 2
Cartesian
0.0000 0.0000 0.0000
0.0000 0.0000 11.7979
0.0000 0.0000 2.7799
0.0000 0.0000 20.8159
```

Peak list (10 most intense, 5° ≤ 2θ ≤ 70°, low angle first)
| two_theta | intensity |
| --- | --- |
| 11.2 | 86 |
| 22.6 | 42 |
| 31.7 | 100 |
| 32.4 | 69 |
| 34.2 | 31 |
| 41.5 | 38 |
| 44.2 | 51 |
| 50.2 | 25 |
| 56.0 | 26 |
| 67.3 | 25 |

***

(2)
For Ce9Sb5O5, a structure optimized by DFT (PBE) gives the theoretical X-ray diffraction stick pattern in this record (Cu Kα (weighted mean of Kα1 and Kα2)).
Peak positions follow from Bragg's law for the DFT cell and can differ from measured ones.

Atomic structure:
```
Ce9Sb5O5
1.0
10.2221 0.0000 0.0000
0.0000 10.2221 0.0000
0.0000 0.0000 9.1621
Ce Sb O
18 10 10
Cartesian
0.2466 3.3754 0.0110
0.4854 8.7234 6.0043
1.4987 5.5965 3.1578
1.7357 0.2466 0.0110
2.5555 2.5555 6.1367
3.3754 4.8645 0.0110
3.6124 9.7367 3.1578
4.6256 6.6097 6.0043
4.8645 1.7357 0.0110
5.3576 8.4864 9.1511
5.5965 3.6124 3.1578
6.6097 0.4854 6.0043
6.8468 5.3576 9.1511
7.6666 7.6666 3.0254
8.4864 9.9755 9.1511
8.7234 4.6256 6.0043
9.7367 1.4987 3.1578
9.9755 6.8468 9.1511
0.5362 8.6673 2.7244
1.5548 5.6473 6.4377
2.5555 2.5555 2.8090
3.5563 9.6859 6.4377
4.5748 6.6659 2.7244
5.6473 3.5563 6.4377
6.6659 0.5362 2.7244
7.6666 7.6666 6.3531
8.6673 4.5748 2.7244
9.6859 1.5548 6.4377
0.2993 8.8943 8.3006
1.3278 5.4103 0.8615
2.5555 2.5555 8.4584
3.7832 9.9229 0.8615
4.8118 6.4389 8.3006
5.4103 3.7832 0.8615
6.4389 0.2993 8.3006
7.6666 7.6666 0.7037
8.8943 4.8118 8.3006
9.9229 1.3278 0.8615
```

Peak list (10 most intense, 5° ≤ 2θ ≤ 70°, low angle first)
| two_theta | intensity |
| --- | --- |
| 27.6 | 30 |
| 29.3 | 100 |
| 33.9 | 60 |
| 39.4 | 41 |
| 40.6 | 12 |
| 48.7 | 12 |
| 49.8 | 33 |
| 57.0 | 12 |
| 57.8 | 15 |
| 65.3 | 21 |